Diffraction record for MgFe4O6. The X-ray diffraction stick pattern is calculated, not measured: it uses a PBE+U-relaxed structure and Cu Kα.
Intensities are scaled so that the largest is 100.

Atomic structure:
```
data_MgFe4O6
_cell_length_a 2.9698
_cell_length_b 10.1268
_cell_length_c 15.3427
_cell_angle_alpha 90.00
_cell_angle_beta 90.00
_cell_angle_gamma 90.00
_space_group_name_H-M_alt 'C m c m'
_space_group_IT_number 63
_space_group_name_Hall '-C 2c 2'
loop_
_atom_site_label
_atom_site_fract_x
_atom_site_fract_y
_atom_site_fract_z
Mg1 0.0000 0.1518 0.2500
Fe1 0.0000 0.1003 0.6377
Fe2 0.0000 0.3654 0.5463
O1 0.0000 0.0000 0.0000
O2 0.0000 0.2018 0.7500
O3 0.0000 0.2866 0.0840
O4 0.0000 0.4636 0.6644
```

Main lines, low angle first (2θ = 10–90°):
Position (°2θ), I (rel.)
11.5, 44.7
33.5, 23.5
34.2, 100.0
35.5, 27.6
39.4, 30.7
40.9, 35.4
42.2, 61.0
44.3, 46.0
58.0, 38.5
60.3, 34.2

***

Diffraction record for MgFe2O4. The X-ray diffraction stick pattern is calculated, not measured: it uses a PBE+U-relaxed structure and Cu Kα.
Intensities are scaled so that the largest is 100.

Atomic structure:
```
data_MgFe2O4
_cell_length_a 6.0866
_cell_length_b 6.1037
_cell_length_c 8.2511
_cell_angle_alpha 90.00
_cell_angle_beta 90.00
_cell_angle_gamma 90.00
_space_group_name_H-M_alt 'I m m a'
_space_group_IT_number 74
_space_group_name_Hall '-I 2b 2'
loop_
_atom_site_label
_atom_site_fract_x
_atom_site_fract_y
_atom_site_fract_z
Mg1 0.0000 0.0000 0.0000
Fe1 0.0000 0.0000 0.5000
Fe2 0.2500 0.2500 0.2500
O1 0.0000 0.0291 0.2554
O2 0.2442 0.2500 0.4938
```

Main lines, low angle first (2θ = 10–90°):
Position (°2θ), I (rel.)
18.1, 100.0
34.7, 26.4
35.8, 14.0
36.7, 34.9
41.9, 78.7
43.9, 34.4
55.5, 10.7
60.7, 10.6
60.9, 11.2
62.3, 40.4

***

Diffraction record for MgFe8O16. The X-ray diffraction stick pattern is calculated, not measured: it uses a PBE+U-relaxed structure and Cu Kα.
Intensities are scaled so that the largest is 100.

Atomic structure:
```
data_MgFe8O16
_cell_length_a 10.5785
_cell_length_b 2.9520
_cell_length_c 10.6907
_cell_angle_alpha 90.00
_cell_angle_beta 90.63
_cell_angle_gamma 90.00
_space_group_name_H-M_alt 'P 1 2/m 1'
_space_group_IT_number 10
loop_
_space_group_symop_operation_xyz
'x,y,z'
'-x,-y,-z'
'-x,y,-z'
'x,-y,z'
loop_
_atom_site_label
_atom_site_fract_x
_atom_site_fract_y
_atom_site_fract_z
Mg1 0.0000 0.0000 0.0000
Fe1 0.1788 0.5000 0.8287
Fe2 0.1876 0.0000 0.1621
Fe3 0.3361 0.5000 0.3578
Fe4 0.3581 0.0000 0.6601
O1 0.0487 0.5000 0.1327
O2 0.1668 0.0000 0.7130
O3 0.1824 0.0000 0.9512
O4 0.2159 0.0000 0.3511
O5 0.3049 0.5000 0.1708
O6 0.3394 0.5000 0.5436
O7 0.3633 0.5000 0.7783
O8 0.4546 0.0000 0.3528
```

Main lines, low angle first (2θ = 10–90°):
Position (°2θ), I (rel.)
11.7, 100.0
11.8, 98.9
16.6, 48.7
16.8, 76.5
26.5, 48.6
35.8, 60.9
35.9, 25.1
46.7, 23.5
56.0, 29.9
64.0, 18.9

***

Diffraction record for MgFe4O8. The X-ray diffraction stick pattern is calculated, not measured: it uses a PBE+U-relaxed structure and Cu Kα.
Intensities are scaled so that the largest is 100.

Atomic structure:
```
data_MgFe4O8
_cell_length_a 10.1968
_cell_length_b 6.4663
_cell_length_c 5.9049
_cell_angle_alpha 90.00
_cell_angle_beta 125.35
_cell_angle_gamma 90.00
_space_group_name_H-M_alt 'C 1 m 1'
_space_group_IT_number 8
loop_
_space_group_symop_operation_xyz
'x,y,z'
'x,-y,z'
'x+1/2,y+1/2,z'
'x+1/2,-y+1/2,z'
loop_
_atom_site_label
_atom_site_fract_x
_atom_site_fract_y
_atom_site_fract_z
Mg1 0.0000 0.0000 0.0000
Fe1 0.2119 0.5000 0.4618
Fe2 0.2115 0.5000 0.9601
Fe3 0.3080 0.0000 0.8075
Fe4 0.3300 0.0000 0.3295
O1 0.1697 0.0000 0.3969
O2 0.1697 0.0000 0.9419
O3 0.2778 0.3189 0.2769
O4 0.3037 0.3150 0.8030
O5 0.4813 0.0000 0.2398
O6 0.4811 0.0000 0.7216
```

Main lines, low angle first (2θ = 10–90°):
Position (°2θ), I (rel.)
17.4, 30.2
21.4, 99.7
27.6, 100.0
35.1, 83.4
35.2, 31.6
37.4, 40.6
47.1, 50.8
53.8, 55.2
53.9, 30.1
63.0, 23.5